1.
Diffraction record for Ho8Ge3Te4S. The powder X-ray diffraction pattern is calculated, not measured: it uses DFT lattice parameters and positions (GGA-PBE) and λ = 1.5418 Å (Cu Kα).
No peak broadening, texture or thermal motion is included.

Crystal structure
```
data_Ho8Ge3Te4S
_space_group_name_H-M_alt 'P 1'
_space_group_IT_number 1
_cell_length_a 8.5213
_cell_length_b 8.5213
_cell_length_c 8.5213
_cell_angle_alpha 58.81
_cell_angle_beta 58.81
_cell_angle_gamma 58.81
loop_
_space_group_symop_operation_xyz
'x,y,z'
loop_
_atom_site_label
_atom_site_type_symbol
_atom_site_fract_x
_atom_site_fract_y
_atom_site_fract_z
Ho1 Ho 0.2362 0.7406 0.7406
Ho2 Ho 0.2402 0.2402 0.2402
Ho3 Ho 0.2594 0.2594 0.7638
Ho4 Ho 0.2594 0.7638 0.2594
Ho5 Ho 0.7406 0.2362 0.7406
Ho6 Ho 0.7406 0.7406 0.2362
Ho7 Ho 0.7598 0.7598 0.7598
Ho8 Ho 0.7638 0.2594 0.2594
Ge1 Ge 0.0000 0.0000 0.5000
Ge2 Ge 0.0000 0.5000 0.0000
Ge3 Ge 0.5000 0.0000 0.0000
Te1 Te 0.0000 0.0000 0.0000
Te2 Te 0.0000 0.5000 0.5000
Te3 Te 0.5000 0.0000 0.5000
Te4 Te 0.5000 0.5000 0.0000
S1 S 0.5000 0.5000 0.5000
```

Top 10 peaks for 10 to 90 degrees two-theta, low angle first:
2θ = 26.0°, rel. 98
2θ = 29.9°, rel. 1000
2θ = 42.4°, rel. 336
2θ = 43.3°, rel. 383
2θ = 53.5°, rel. 196
2θ = 62.2°, rel. 108
2θ = 70.0°, rel. 119
2θ = 71.1°, rel. 166
2θ = 78.8°, rel. 109
2θ = 79.3°, rel. 88


2.
Diffraction record for Hg4GeBi2. The powder X-ray diffraction pattern is calculated, not measured: it uses DFT lattice parameters and positions (GGA-PBE) and λ = 1.5418 Å (Cu Kα).
No peak broadening, texture or thermal motion is included.

Crystal structure
```
data_Hg4GeBi2
_space_group_name_H-M_alt 'P 1'
_space_group_IT_number 1
_cell_length_a 5.5103
_cell_length_b 5.5103
_cell_length_c 14.8171
_cell_angle_alpha 90.00
_cell_angle_beta 90.00
_cell_angle_gamma 90.00
loop_
_space_group_symop_operation_xyz
'x,y,z'
loop_
_atom_site_label
_atom_site_type_symbol
_atom_site_fract_x
_atom_site_fract_y
_atom_site_fract_z
Hg1 Hg 0.0000 0.0000 0.1862
Hg2 Hg 0.0000 0.0000 0.8138
Hg3 Hg 0.0000 0.5000 0.0000
Hg4 Hg 0.0000 0.5000 0.5000
Hg5 Hg 0.5000 0.0000 0.0000
Hg6 Hg 0.5000 0.0000 0.5000
Hg7 Hg 0.5000 0.5000 0.3138
Hg8 Hg 0.5000 0.5000 0.6862
Ge1 Ge 0.0000 0.0000 0.0000
Ge2 Ge 0.5000 0.5000 0.5000
Bi1 Bi 0.0000 0.0000 0.3884
Bi2 Bi 0.0000 0.0000 0.6116
Bi3 Bi 0.5000 0.5000 0.1116
Bi4 Bi 0.5000 0.5000 0.8884
```

Top 10 peaks for 10 to 90 degrees two-theta, low angle first:
2θ = 11.9°, rel. 220
2θ = 22.8°, rel. 344
2θ = 25.8°, rel. 608
2θ = 32.5°, rel. 1000
2θ = 33.4°, rel. 594
2θ = 34.4°, rel. 708
2θ = 46.6°, rel. 374
2θ = 48.0°, rel. 562
2θ = 58.5°, rel. 310
2θ = 69.2°, rel. 193


3.
Diffraction record for RbU2Cu2Se6. The powder X-ray diffraction pattern is calculated, not measured: it uses DFT lattice parameters and positions (GGA-PBE) and λ = 1.5418 Å (Cu Kα).
No peak broadening, texture or thermal motion is included.

Crystal structure
```
data_RbU2Cu2Se6
_space_group_name_H-M_alt 'P 1'
_space_group_IT_number 1
_cell_length_a 7.4682
_cell_length_b 7.6218
_cell_length_c 7.7042
_cell_angle_alpha 62.68
_cell_angle_beta 62.83
_cell_angle_gamma 60.95
loop_
_space_group_symop_operation_xyz
'x,y,z'
loop_
_atom_site_label
_atom_site_type_symbol
_atom_site_fract_x
_atom_site_fract_y
_atom_site_fract_z
Rb1 Rb 0.0000 0.0000 0.0000
U1 U 0.3308 0.3327 0.0025
U2 U 0.6692 0.6673 0.9975
Cu1 Cu 0.4399 0.6765 0.5644
Cu2 Cu 0.5601 0.3235 0.4356
Se1 Se 0.0838 0.6789 0.7542
Se2 Se 0.3124 0.5377 0.2442
Se3 Se 0.4746 0.0756 0.7565
Se4 Se 0.5254 0.9244 0.2435
Se5 Se 0.6876 0.4623 0.7558
Se6 Se 0.9162 0.3211 0.2458
```

Top 10 peaks for 10 to 90 degrees two-theta, low angle first:
2θ = 13.6°, rel. 867
2θ = 14.0°, rel. 359
2θ = 14.2°, rel. 513
2θ = 14.5°, rel. 328
2θ = 27.0°, rel. 695
2θ = 27.1°, rel. 533
2θ = 27.5°, rel. 1000
2θ = 36.0°, rel. 410
2θ = 36.2°, rel. 577
2θ = 41.5°, rel. 387


4.
Diffraction record for Ba6NaMg. The powder X-ray diffraction pattern is calculated, not measured: it uses DFT lattice parameters and positions (GGA-PBE) and λ = 1.5418 Å (Cu Kα).
No peak broadening, texture or thermal motion is included.

Crystal structure
```
data_Ba6NaMg
_space_group_name_H-M_alt 'P 1'
_space_group_IT_number 1
_cell_length_a 8.6119
_cell_length_b 8.6182
_cell_length_c 9.2107
_cell_angle_alpha 117.79
_cell_angle_beta 90.20
_cell_angle_gamma 119.76
loop_
_space_group_symop_operation_xyz
'x,y,z'
loop_
_atom_site_label
_atom_site_type_symbol
_atom_site_fract_x
_atom_site_fract_y
_atom_site_fract_z
Ba1 Ba 0.0475 0.3066 0.2458
Ba2 Ba 0.2408 0.3034 0.7541
Ba3 Ba 0.4365 0.9864 0.2457
Ba4 Ba 0.5635 0.0136 0.7543
Ba5 Ba 0.7592 0.6966 0.2459
Ba6 Ba 0.9525 0.6934 0.7542
Na1 Na 0.5000 0.5000 0.5000
Mg1 Mg 0.0000 0.5000 0.0000
```

Top 10 peaks for 10 to 90 degrees two-theta, low angle first:
2θ = 20.6°, rel. 258
2θ = 22.9°, rel. 334
2θ = 23.6°, rel. 1000
2θ = 23.7°, rel. 502
2θ = 31.0°, rel. 216
2θ = 36.0°, rel. 221
2θ = 40.6°, rel. 172
2θ = 40.7°, rel. 182
2θ = 43.1°, rel. 149
2θ = 43.6°, rel. 154


5.
Diffraction record for K3Li. The powder X-ray diffraction pattern is calculated, not measured: it uses DFT lattice parameters and positions (GGA-PBE) and λ = 1.5418 Å (Cu Kα).
No peak broadening, texture or thermal motion is included.

Crystal structure
```
data_K3Li
_space_group_name_H-M_alt 'P 1'
_space_group_IT_number 1
_cell_length_a 7.7317
_cell_length_b 7.7317
_cell_length_c 7.7317
_cell_angle_alpha 90.00
_cell_angle_beta 90.00
_cell_angle_gamma 90.00
loop_
_space_group_symop_operation_xyz
'x,y,z'
loop_
_atom_site_label
_atom_site_type_symbol
_atom_site_fract_x
_atom_site_fract_y
_atom_site_fract_z
K1 K 0.0000 0.2500 0.5000
K2 K 0.0000 0.7500 0.5000
K3 K 0.2500 0.5000 0.0000
K4 K 0.5000 0.0000 0.2500
K5 K 0.5000 0.0000 0.7500
K6 K 0.7500 0.5000 0.0000
Li1 Li 0.0000 0.0000 0.0000
Li2 Li 0.5000 0.5000 0.5000
```

Top 10 peaks for 10 to 90 degrees two-theta, low angle first:
2θ = 16.2°, rel. 297
2θ = 23.0°, rel. 107
2θ = 25.8°, rel. 1000
2θ = 28.3°, rel. 246
2θ = 40.4°, rel. 183
2θ = 42.1°, rel. 233
2θ = 43.8°, rel. 132
2θ = 47.0°, rel. 100
2θ = 54.4°, rel. 200
2θ = 65.0°, rel. 165